No. 1
# PmGe3
Theoretical X-ray powder pattern, Cu Kα (λ = 1.5418 Å). Input: the PBE geometry in the Materials Project.
No peak broadening, texture or thermal motion is included.

Atomic structure:
abc: 6.2030 6.2030 5.1249
angles: 90.00 90.00 120.00
Atoms (fractional coordinates):
Pm 0.3333 0.6667 0.2500
Pm 0.6667 0.3333 0.7500
Ge 0.1466 0.2931 0.7500
Ge 0.1466 0.8534 0.7500
Ge 0.2931 0.1466 0.2500
Ge 0.7069 0.8534 0.7500
Ge 0.8534 0.1466 0.2500
Ge 0.8534 0.7069 0.2500

Main lines, sorted by position (15 to 90 degrees two-theta):
two_theta, d_spacing, I/Imax
24.00, 3.708, 21
28.79, 3.101, 7
33.36, 2.686, 23
35.02, 2.562, 30
37.82, 2.379, 100
49.14, 1.854, 15
59.62, 1.551, 15
64.66, 1.441, 20
71.05, 1.327, 17
72.80, 1.299, 11

***

No. 2
# Si3Rh5
Theoretical X-ray powder pattern, Cu Kα (λ = 1.5418 Å). Input: the PBE geometry in the Materials Project.
No peak broadening, texture or thermal motion is included.

Atomic structure:
abc: 5.3954 10.3061 3.9114
angles: 90.00 90.00 90.00
Atoms (fractional coordinates):
Si 0.0000 0.0000 0.0000
Si 0.0962 0.3456 0.5000
Si 0.4038 0.8456 0.5000
Si 0.5000 0.5000 0.0000
Si 0.5962 0.1544 0.5000
Si 0.9038 0.6544 0.5000
Rh 0.0000 0.5000 0.0000
Rh 0.1606 0.7872 0.0000
Rh 0.1669 0.1074 0.5000
Rh 0.3331 0.6074 0.5000
Rh 0.3394 0.2872 0.0000
Rh 0.5000 0.0000 0.0000
Rh 0.6606 0.7128 0.0000
Rh 0.6669 0.3926 0.5000
Rh 0.8331 0.8926 0.5000
Rh 0.8394 0.2128 0.0000

Main lines, sorted by position (15 to 90 degrees two-theta):
two_theta, d_spacing, I/Imax
29.51, 3.027, 25
33.21, 2.698, 84
38.70, 2.326, 54
41.60, 2.171, 100
41.99, 2.152, 100
42.61, 2.122, 41
44.42, 2.039, 42
46.43, 1.956, 58
64.84, 1.438, 23
74.03, 1.280, 34

***

No. 3
# KNa4Te2PdO22
Theoretical X-ray powder pattern, Cu Kα (λ = 1.5418 Å). Input: the PBE geometry in the Materials Project.
No peak broadening, texture or thermal motion is included.

Atomic structure:
abc: 7.4057 11.3678 11.7522
angles: 94.48 91.30 104.65
Atoms (fractional coordinates):
K 0.2208 0.0803 0.2028
K 0.7792 0.9197 0.7972
Na 0.0878 0.5346 0.7552
Na 0.1039 0.1480 0.6508
Na 0.3266 0.0234 0.8645
Na 0.3768 0.4680 0.2957
Na 0.6232 0.5320 0.7043
Na 0.6734 0.9766 0.1355
Na 0.8961 0.8520 0.3492
Na 0.9122 0.4654 0.2448
Te 0.2153 0.8562 0.6179
Te 0.3153 0.7395 0.1773
Te 0.6847 0.2605 0.8227
Te 0.7847 0.1438 0.3821
Pd 0.4348 0.9148 0.3901
Pd 0.5652 0.0852 0.6099
O 0.0013 0.8127 0.5162
O 0.0358 0.3100 0.9055
O 0.0614 0.3756 0.0802
O 0.1030 0.2230 0.9299
O 0.1041 0.9617 0.7088
O 0.1349 0.2929 0.1038
O 0.1410 0.9333 0.0107
O 0.1692 0.7209 0.7015
O 0.1964 0.5998 0.2526
O 0.2072 0.8485 0.2785
O 0.2365 0.5029 0.4788
O 0.2846 0.5323 0.5810
O 0.3280 0.0097 0.5134
O 0.3377 0.7817 0.4905
O 0.3389 0.3420 0.4893
O 0.3576 0.8460 0.0577
O 0.3755 0.3726 0.5931
O 0.3879 0.6143 0.0869
O 0.4186 0.6093 0.8672
O 0.4537 0.7165 0.8403
O 0.4579 0.1896 0.7301
O 0.4609 0.9371 0.6978
O 0.5391 0.0629 0.3022
O 0.5421 0.8104 0.2699
O 0.5463 0.2835 0.1597
O 0.5814 0.3907 0.1328
O 0.6121 0.3857 0.9131
O 0.6245 0.6274 0.4069
O 0.6424 0.1540 0.9423
O 0.6611 0.6580 0.5107
O 0.6623 0.2183 0.5095
O 0.6720 0.9903 0.4866
O 0.7154 0.4677 0.4190
O 0.7635 0.4971 0.5212
O 0.7928 0.1515 0.7215
O 0.8036 0.4002 0.7474
O 0.8308 0.2791 0.2985
O 0.8590 0.0667 0.9893
O 0.8651 0.7071 0.8962
O 0.8959 0.0383 0.2912
O 0.8970 0.7770 0.0701
O 0.9386 0.6244 0.9198
O 0.9642 0.6900 0.0945
O 0.9987 0.1873 0.4838

Main lines, sorted by position (15 to 90 degrees two-theta):
two_theta, d_spacing, I/Imax
16.43, 5.394, 44
17.73, 5.003, 43
18.92, 4.691, 100
19.16, 4.632, 51
20.04, 4.431, 53
24.90, 3.577, 58
27.05, 3.297, 43
28.64, 3.117, 49
36.43, 2.466, 45
37.71, 2.385, 44

***

No. 4
# Pr3Ho
Theoretical X-ray powder pattern, Cu Kα (λ = 1.5418 Å). Input: the PBE geometry in the Materials Project.
No peak broadening, texture or thermal motion is included.

Atomic structure:
abc: 5.1919 5.1919 10.4586
angles: 90.00 90.00 90.00
Atoms (fractional coordinates):
Pr 0.0000 0.0000 0.0000
Pr 0.0000 0.5000 0.2500
Pr 0.0000 0.5000 0.7500
Pr 0.5000 0.0000 0.2500
Pr 0.5000 0.0000 0.7500
Pr 0.5000 0.5000 0.5000
Ho 0.0000 0.0000 0.5000
Ho 0.5000 0.5000 0.0000

Main lines, sorted by position (15 to 90 degrees two-theta):
two_theta, d_spacing, I/Imax
29.73, 3.005, 100
34.30, 2.615, 17
34.55, 2.596, 34
49.48, 1.842, 24
49.67, 1.836, 12
58.63, 1.575, 15
58.96, 1.566, 29
61.75, 1.502, 13
80.34, 1.195, 12
80.63, 1.192, 6

***

No. 5
# Na2LaZrP3O12
Theoretical X-ray powder pattern, Cu Kα (λ = 1.5418 Å). Input: the PBE geometry in the Materials Project.
No peak broadening, texture or thermal motion is included.

Atomic structure:
abc: 9.3616 9.3616 9.4958
angles: 119.68 119.68 59.82
Atoms (fractional coordinates):
Na 0.0007 0.4992 0.2365
Na 0.1028 0.8972 0.5000
Na 0.4992 0.0007 0.7365
Na 0.8972 0.1028 0.0000
La 0.1580 0.6318 0.6881
La 0.6318 0.1580 0.1881
Zr 0.3649 0.8489 0.2974
Zr 0.8489 0.3649 0.7974
P 0.0543 0.2295 0.4845
P 0.2295 0.0543 0.9845
P 0.4613 0.5687 0.4991
P 0.5687 0.4613 0.9991
P 0.7422 0.9685 0.5041
P 0.9685 0.7422 0.0041
O 0.9995 0.2700 0.6386
O 0.0613 0.2241 0.9844
O 0.0904 0.3787 0.4987
O 0.1337 0.7760 0.1669
O 0.1891 0.9089 0.8159
O 0.2241 0.0613 0.4844
O 0.2700 0.9995 0.1386
O 0.2858 0.6149 0.5151
O 0.3787 0.0904 0.9987
O 0.4180 0.4739 0.8344
O 0.4560 0.7343 0.4900
O 0.4739 0.4180 0.3344
O 0.5193 0.6249 0.1567
O 0.5733 0.9511 0.4813
O 0.6149 0.2858 0.0151
O 0.6249 0.5193 0.6567
O 0.7207 0.9945 0.3477
O 0.7343 0.4560 0.9900
O 0.7760 0.1337 0.6669
O 0.7996 0.8996 0.0180
O 0.8996 0.7996 0.5180
O 0.9089 0.1891 0.3159
O 0.9511 0.5733 0.9813
O 0.9945 0.7207 0.8477

Main lines, sorted by position (15 to 90 degrees two-theta):
two_theta, d_spacing, I/Imax
18.72, 4.739, 79
18.98, 4.676, 84
22.17, 4.010, 50
26.78, 3.329, 42
29.84, 2.994, 100
33.01, 2.714, 18
33.11, 2.706, 24
33.21, 2.697, 36
45.18, 2.007, 22
49.06, 1.857, 18

***

No. 6
# Ba2BiIrO6
Theoretical X-ray powder pattern, Cu Kα (λ = 1.5418 Å). Input: the PBE geometry in the Materials Project.
No peak broadening, texture or thermal motion is included.

Atomic structure:
abc: 6.0783 6.0783 6.0783
angles: 60.00 60.00 60.00
Atoms (fractional coordinates):
Ba 0.2500 0.2500 0.2500
Ba 0.7500 0.7500 0.7500
Bi 0.0000 0.0000 0.0000
Ir 0.5000 0.5000 0.5000
O 0.2679 0.2679 0.7321
O 0.2679 0.7321 0.2679
O 0.2679 0.7321 0.7321
O 0.7321 0.2679 0.2679
O 0.7321 0.2679 0.7321
O 0.7321 0.7321 0.2679

Main lines, sorted by position (15 to 90 degrees two-theta):
two_theta, d_spacing, I/Imax
20.67, 4.298, 8
29.39, 3.039, 100
42.04, 2.149, 27
47.29, 1.922, 4
52.13, 1.755, 41
60.97, 1.520, 18
65.11, 1.433, 2
69.11, 1.359, 19
76.83, 1.241, 6
84.31, 1.149, 23